Theoretical PXRD pattern of Mg2SiO4 for CuKα, from a DFT-relaxed cell (PBE, the Materials Project).

Cell and atoms:
a = 5.7653 Å, b = 5.7653 Å, c = 5.7653 Å
α = 60.00°, β = 60.00°, γ = 60.00°
Sites, in units of the cell vectors:
Mg: 0.0000 0.0000 0.0000
Mg: 0.0000 0.0000 0.5000
Mg: 0.0000 0.5000 0.0000
Mg: 0.5000 0.0000 0.0000
Si: 0.3750 0.3750 0.3750
Si: 0.6250 0.6250 0.6250
O: 0.2559 0.2559 0.2559
O: 0.2559 0.2559 0.7322
O: 0.2559 0.7322 0.2559
O: 0.2678 0.7441 0.7441
O: 0.7322 0.2559 0.2559
O: 0.7441 0.2678 0.7441
O: 0.7441 0.7441 0.2678
O: 0.7441 0.7441 0.7441

The 11 most intense peaks (2θ from 15° to 90°), sorted by position:
d_spacing	I (rel.)
2.883	30
2.458	100
2.354	2
2.038	45
1.871	2
1.664	10
1.569	27
1.441	68
1.289	4
1.243	10
1.177	6

=====

Theoretical PXRD pattern of MgSiO3 for CuKα, from a DFT-relaxed cell (PBE, the Materials Project).

Cell and atoms:
a = 9.3805 Å, b = 9.0614 Å, c = 5.2633 Å
α = 90.00°, β = 99.40°, γ = 90.00°
Sites, in units of the cell vectors:
Mg: 0.2193 0.1561 0.4148
Mg: 0.2193 0.3439 0.9148
Mg: 0.2676 0.5087 0.4206
Mg: 0.2676 0.9913 0.9206
Mg: 0.7324 0.0087 0.0794
Mg: 0.7324 0.4913 0.5794
Mg: 0.7807 0.6561 0.0852
Mg: 0.7807 0.8439 0.5852
Si: 0.0690 0.6661 0.8235
Si: 0.0690 0.8339 0.3235
Si: 0.4813 0.2133 0.6949
Si: 0.4813 0.2867 0.1949
Si: 0.5187 0.7133 0.8051
Si: 0.5187 0.7867 0.3051
Si: 0.9310 0.1661 0.6765
Si: 0.9310 0.3339 0.1765
O: 0.1075 0.1572 0.7235
O: 0.1075 0.3428 0.2235
O: 0.1176 0.6882 0.1495
O: 0.1176 0.8118 0.6495
O: 0.1522 0.5288 0.7235
O: 0.1522 0.9712 0.2235
O: 0.3464 0.1695 0.1406
O: 0.3464 0.3305 0.6406
O: 0.3981 0.0560 0.6675
O: 0.3981 0.4440 0.1675
O: 0.4128 0.7323 0.5181
O: 0.4128 0.7677 0.0181
O: 0.5872 0.2323 0.9819
O: 0.5872 0.2677 0.4819
O: 0.6019 0.5560 0.8325
O: 0.6019 0.9440 0.3325
O: 0.6536 0.6695 0.3594
O: 0.6536 0.8305 0.8594
O: 0.8478 0.0288 0.7765
O: 0.8478 0.4712 0.2765
O: 0.8824 0.1882 0.3505
O: 0.8824 0.3118 0.8505
O: 0.8925 0.6572 0.7765
O: 0.8925 0.8428 0.2765

The 12 most intense peaks (2θ from 15° to 90°), sorted by position:
d_spacing	I (rel.)
4.531	60
4.121	41
3.414	34
3.237	100
3.021	53
2.920	33
2.900	57
2.613	84
2.441	42
2.199	55
2.169	40
2.065	43

=====

Theoretical PXRD pattern of MgSiO3 for CuKα, from a DFT-relaxed cell (PBE, the Materials Project).

Cell and atoms:
a = 3.5272 Å, b = 3.5272 Å, c = 3.5272 Å
α = 90.00°, β = 90.00°, γ = 90.00°
Sites, in units of the cell vectors:
Mg: 0.0000 0.0000 0.0000
Si: 0.5000 0.5000 0.5000
O: 0.0000 0.5000 0.5000
O: 0.5000 0.0000 0.5000
O: 0.5000 0.5000 0.0000

The 9 most intense peaks (2θ from 15° to 90°), sorted by position:
d_spacing	I (rel.)
3.527	36
2.494	88
2.036	43
1.764	100
1.577	8
1.440	35
1.247	52
1.176	3
1.115	17

=====

Theoretical PXRD pattern of Mg3Si2O9 for CuKα, from a DFT-relaxed cell (PBE, the Materials Project).

Cell and atoms:
a = 5.4303 Å, b = 5.4410 Å, c = 29.2857 Å
α = 88.77°, β = 89.41°, γ = 60.71°
Sites, in units of the cell vectors:
Mg: 0.0000 0.0000 0.0000
Mg: 0.0014 0.9928 0.5014
Mg: 0.3182 0.0062 0.7518
Mg: 0.3289 0.6807 0.2518
Mg: 0.3313 0.3328 0.0028
Mg: 0.3350 0.3285 0.5006
Mg: 0.6511 0.0042 0.2513
Mg: 0.6651 0.6653 0.0025
Mg: 0.6687 0.6608 0.5013
Mg: 0.6944 0.3162 0.7517
Mg: 0.9418 0.6924 0.7520
Mg: 0.9756 0.3254 0.2513
Si: 0.3237 0.0006 0.1565
Si: 0.6469 0.6713 0.3465
Si: 0.6488 0.6727 0.8473
Si: 0.6541 0.0008 0.6562
Si: 0.6575 0.3364 0.1565
Si: 0.9805 0.0059 0.3464
Si: 0.9848 0.0072 0.8473
Si: 0.9892 0.3362 0.6563
O: 0.0030 0.6540 0.2235
O: 0.0218 0.6363 0.5314
O: 0.3007 0.3526 0.2792
O: 0.3137 0.6868 0.4700
O: 0.3136 0.8342 0.3641
O: 0.3174 0.4128 0.7734
O: 0.3168 0.8423 0.8650
O: 0.3187 0.5950 0.7304
O: 0.3216 0.1653 0.6389
O: 0.3268 0.9944 0.2128
O: 0.3291 0.6483 0.0325
O: 0.3374 0.0203 0.9712
O: 0.3541 0.9719 0.5310
O: 0.4871 0.6704 0.1386
O: 0.4933 0.1680 0.1386
O: 0.6428 0.6785 0.2902
O: 0.6472 0.6859 0.7911
O: 0.6475 0.0176 0.4701
O: 0.6509 0.9908 0.7126
O: 0.6604 0.3314 0.2128
O: 0.6638 0.3553 0.9712
O: 0.6691 0.9775 0.0323
O: 0.6872 0.3049 0.5310
O: 0.8111 0.8391 0.3648
O: 0.8139 0.3383 0.8645
O: 0.8184 0.3367 0.3640
O: 0.8193 0.1723 0.6389
O: 0.8198 0.8356 0.8647
O: 0.8254 0.6700 0.6388
O: 0.9763 0.0115 0.2902
O: 0.9800 0.3511 0.4705
O: 0.9872 0.0182 0.7909
O: 0.9878 0.3253 0.7126
O: 0.9908 0.1720 0.1389
O: 0.9968 0.3078 0.0326
O: 0.9983 0.6836 0.9714

The 12 most intense peaks (2θ from 15° to 90°), sorted by position:
d_spacing	I (rel.)
4.880	100
4.739	22
4.683	26
4.538	26
4.495	36
3.948	19
3.660	95
2.928	27
2.475	28
2.449	28
1.582	20
1.579	22

=====

Theoretical PXRD pattern of Mg3Si2O9 for CuKα, from a DFT-relaxed cell (PBE, the Materials Project).

Cell and atoms:
a = 5.4148 Å, b = 5.4148 Å, c = 7.4106 Å
α = 90.00°, β = 90.00°, γ = 120.00°
Sites, in units of the cell vectors:
Mg: 0.0000 0.3559 0.0000
Mg: 0.3559 0.0000 0.0000
Mg: 0.6441 0.6441 0.0000
Si: 0.3333 0.6667 0.6181
Si: 0.6667 0.3333 0.6181
O: 0.0000 0.0000 0.8948
O: 0.0000 0.4992 0.5475
O: 0.0000 0.6941 0.1225
O: 0.3059 0.3059 0.1225
O: 0.3333 0.6667 0.8410
O: 0.4992 0.0000 0.5475
O: 0.5008 0.5008 0.5475
O: 0.6667 0.3333 0.8410
O: 0.6941 0.0000 0.1225

The 12 most intense peaks (2θ from 15° to 90°), sorted by position:
d_spacing	I (rel.)
4.689	48
3.963	75
3.705	84
2.907	15
2.543	100
2.186	51
1.825	39
1.724	15
1.563	32
1.529	51
1.332	20
1.300	16